Starting from a crystal structure in Alexandria, relaxed with GGA-PBE, the powder diffractogram of Sm5DyTm was simulated for CuKα.
Peak positions follow from Bragg's law for the DFT cell and can differ from measured ones.

Structural model:
Unit cell a=6.2439 b=6.6127 c=6.6333 alpha=117.82 beta=96.19 gamma=96.33
Element x y z (fractional)
Sm 0.0000 0.0000 0.0000
Sm 0.2723 0.0849 0.5838
Sm 0.4992 0.6884 0.8073
Sm 0.5008 0.3116 0.1927
Sm 0.7277 0.9151 0.4162
Dy 0.0000 0.5000 0.0000
Tm 0.0000 0.5000 0.5000

The 10 most intense peaks (2θ = 10–90°), sorted by position:
- d 3.291, intensity 24
- d 2.926, intensity 40
- d 2.836, intensity 37
- d 2.809, intensity 100
- d 2.784, intensity 22
- d 2.774, intensity 20
- d 2.701, intensity 28
- d 2.687, intensity 45
- d 2.514, intensity 19
- d 1.816, intensity 25

---

Starting from a crystal structure in Alexandria, relaxed with GGA-PBE, the powder diffractogram of SmDy5Tm12 was simulated for CuKα.
Peak positions follow from Bragg's law for the DFT cell and can differ from measured ones.

Structural model:
Unit cell a=7.6971 b=7.6971 c=10.8903 alpha=110.90 beta=110.90 gamma=84.38
Element x y z (fractional)
Sm 0.0000 0.0000 0.0000
Dy 0.1668 0.8332 0.5000
Dy 0.3343 0.6657 0.0000
Dy 0.5000 0.5000 0.5000
Dy 0.6657 0.3343 0.0000
Dy 0.8332 0.1668 0.5000
Tm 0.1417 0.4752 0.1723
Tm 0.1622 0.1622 0.3494
Tm 0.1720 0.5051 0.6518
Tm 0.1925 0.1925 0.8269
Tm 0.4752 0.1417 0.1723
Tm 0.4949 0.8280 0.3482
Tm 0.5051 0.1720 0.6518
Tm 0.5248 0.8583 0.8277
Tm 0.8075 0.8075 0.1731
Tm 0.8280 0.4949 0.3482
Tm 0.8378 0.8378 0.6506
Tm 0.8583 0.5248 0.8277

The 10 most intense peaks (2θ = 10–90°), sorted by position:
- d 2.912, intensity 97
- d 2.848, intensity 84
- d 2.837, intensity 100
- d 2.723, intensity 80
- d 2.540, intensity 44
- d 2.516, intensity 45
- d 2.479, intensity 34
- d 2.396, intensity 53
- d 1.473, intensity 70
- d 1.456, intensity 31

---

Starting from a crystal structure in Alexandria, relaxed with GGA-PBE, the powder diffractogram of SmDy8Tm2 was simulated for CuKα.
Peak positions follow from Bragg's law for the DFT cell and can differ from measured ones.

Structural model:
Unit cell a=9.2967 b=9.2967 c=9.2967 alpha=145.65 beta=128.33 gamma=63.52
Element x y z (fractional)
Sm 0.0000 0.0000 0.0000
Dy 0.1548 0.8610 0.2938
Dy 0.1636 0.6636 0.5000
Dy 0.2954 0.5000 0.7954
Dy 0.4328 0.1390 0.2938
Dy 0.5672 0.8610 0.7062
Dy 0.7046 0.5000 0.2046
Dy 0.8364 0.3364 0.5000
Dy 0.8452 0.1390 0.7062
Tm 0.3002 0.3002 0.0000
Tm 0.6998 0.6998 0.0000

The 10 most intense peaks (2θ = 10–90°), sorted by position:
- d 2.982, intensity 26
- d 2.772, intensity 100
- d 2.743, intensity 51
- d 2.662, intensity 12
- d 2.635, intensity 15
- d 1.901, intensity 11
- d 1.590, intensity 19
- d 1.492, intensity 12
- d 1.465, intensity 11
- d 1.446, intensity 11

---

Starting from a crystal structure in Alexandria, relaxed with GGA-PBE, the powder diffractogram of SmDy3Tm7 was simulated for CuKα.
Peak positions follow from Bragg's law for the DFT cell and can differ from measured ones.

Structural model:
Unit cell a=6.8639 b=5.4594 c=9.8284 alpha=90.00 beta=109.37 gamma=90.00
Element x y z (fractional)
Sm 0.0000 0.0000 0.0000
Dy 0.2770 0.5000 0.4949
Dy 0.5000 0.0000 0.0000
Dy 0.7230 0.5000 0.5051
Tm 0.0000 0.0000 0.5000
Tm 0.1508 0.5000 0.7901
Tm 0.3211 0.5000 0.1415
Tm 0.4271 0.0000 0.3315
Tm 0.5729 0.0000 0.6685
Tm 0.6789 0.5000 0.8585
Tm 0.8492 0.5000 0.2099

The 10 most intense peaks (2θ = 10–90°), sorted by position:
- d 2.817, intensity 21
- d 2.785, intensity 100
- d 2.760, intensity 45
- d 2.731, intensity 69
- d 2.690, intensity 54
- d 1.932, intensity 13
- d 1.716, intensity 16
- d 1.586, intensity 16
- d 1.581, intensity 12
- d 1.453, intensity 18

---

Starting from a crystal structure in Alexandria, relaxed with GGA-PBE, the powder diffractogram of Sm3Dy7Tm was simulated for CuKα.
Peak positions follow from Bragg's law for the DFT cell and can differ from measured ones.

Structural model:
Unit cell a=6.9325 b=5.5208 c=9.9442 alpha=90.00 beta=109.27 gamma=90.00
Element x y z (fractional)
Sm 0.0000 0.0000 0.0000
Sm 0.2797 0.5000 0.4957
Sm 0.7203 0.5000 0.5043
Dy 0.0000 0.0000 0.5000
Dy 0.1487 0.5000 0.7896
Dy 0.3216 0.5000 0.1368
Dy 0.4244 0.0000 0.3290
Dy 0.5756 0.0000 0.6710
Dy 0.6784 0.5000 0.8632
Dy 0.8513 0.5000 0.2104
Tm 0.5000 0.0000 0.0000

The 10 most intense peaks (2θ = 10–90°), sorted by position:
- d 2.851, intensity 22
- d 2.815, intensity 100
- d 2.788, intensity 47
- d 2.761, intensity 68
- d 2.722, intensity 53
- d 1.952, intensity 12
- d 1.733, intensity 16
- d 1.604, intensity 16
- d 1.599, intensity 13
- d 1.468, intensity 18

---

Starting from a crystal structure in Alexandria, relaxed with GGA-PBE, the powder diffractogram of Sm5DyY2Tm was simulated for CuKα.
Peak positions follow from Bragg's law for the DFT cell and can differ from measured ones.

Structural model:
Unit cell a=10.4660 b=10.4660 c=10.6253 alpha=90.00 beta=90.00 gamma=148.68
Element x y z (fractional)
Sm 0.0183 0.9817 0.5000
Sm 0.2810 0.7190 0.7925
Sm 0.2983 0.7017 0.1868
Sm 0.3875 0.6125 0.5023
Sm 0.4814 0.5186 0.2228
Sm 0.5186 0.4814 0.7228
Sm 0.6125 0.3875 0.0023
Sm 0.7017 0.2983 0.6868
Sm 0.7190 0.2810 0.2925
Sm 0.9817 0.0183 0.0000
Dy 0.4102 0.5898 0.9410
Dy 0.5898 0.4102 0.4410
Y 0.1119 0.8881 0.2166
Y 0.1148 0.8852 0.7956
Y 0.8852 0.1148 0.2956
Y 0.8881 0.1119 0.7166
Tm 0.1998 0.8002 0.4913
Tm 0.8002 0.1998 0.9913

The 10 most intense peaks (2θ = 10–90°), sorted by position:
- d 3.203, intensity 18
- d 2.968, intensity 35
- d 2.825, intensity 38
- d 2.792, intensity 100
- d 2.656, intensity 13
- d 2.119, intensity 11
- d 1.935, intensity 11
- d 1.625, intensity 21
- d 1.564, intensity 12
- d 1.516, intensity 12

---

Starting from a crystal structure in Alexandria, relaxed with GGA-PBE, the powder diffractogram of SmDyY2Tm2 was simulated for CuKα.
Peak positions follow from Bragg's law for the DFT cell and can differ from measured ones.

Structural model:
Unit cell a=6.4888 b=17.7576 c=3.3970 alpha=90.00 beta=90.00 gamma=90.00
Element x y z (fractional)
Sm 0.0000 0.0000 0.0000
Sm 0.5000 0.5000 0.5000
Dy 0.0000 0.5000 0.0000
Dy 0.5000 0.0000 0.5000
Y 0.2233 0.1872 0.0000
Y 0.2767 0.6872 0.5000
Y 0.7233 0.3128 0.5000
Y 0.7767 0.8128 0.0000
Tm 0.2215 0.3534 0.5000
Tm 0.2785 0.8534 0.0000
Tm 0.7215 0.1466 0.0000
Tm 0.7785 0.6466 0.5000

The 10 most intense peaks (2θ = 10–90°), sorted by position:
- d 5.239, intensity 49
- d 3.337, intensity 33
- d 3.047, intensity 100
- d 2.960, intensity 88
- d 2.946, intensity 83
- d 2.850, intensity 58
- d 2.693, intensity 33
- d 2.619, intensity 84
- d 2.491, intensity 57
- d 2.181, intensity 57

---

Starting from a crystal structure in Alexandria, relaxed with GGA-PBE, the powder diffractogram of Sm6DyY4 was simulated for CuKα.
Peak positions follow from Bragg's law for the DFT cell and can differ from measured ones.

Structural model:
Unit cell a=9.7642 b=9.7642 c=9.7642 alpha=140.02 beta=140.02 gamma=57.82
Element x y z (fractional)
Sm 0.0000 0.5000 0.5000
Sm 0.0131 0.6379 0.0000
Sm 0.3621 0.3621 0.3752
Sm 0.5000 0.0000 0.5000
Sm 0.6379 0.0131 0.0000
Sm 0.9869 0.9869 0.6248
Dy 0.0000 0.0000 0.0000
Y 0.1939 0.1939 0.6427
Y 0.4488 0.8061 0.0000
Y 0.5512 0.5512 0.3573
Y 0.8061 0.4488 0.0000

The 10 most intense peaks (2θ = 10–90°), sorted by position:
- d 3.168, intensity 54
- d 3.109, intensity 96
- d 3.043, intensity 32
- d 2.941, intensity 100
- d 2.849, intensity 42
- d 2.631, intensity 81
- d 2.360, intensity 36
- d 2.249, intensity 34
- d 1.818, intensity 27
- d 1.612, intensity 30

---

Starting from a crystal structure in Alexandria, relaxed with GGA-PBE, the powder diffractogram of Sm7DyY3 was simulated for CuKα.
Peak positions follow from Bragg's law for the DFT cell and can differ from measured ones.

Structural model:
Unit cell a=7.0989 b=5.6303 c=9.9956 alpha=90.00 beta=110.57 gamma=90.00
Element x y z (fractional)
Sm 0.0000 0.0000 0.0000
Sm 0.1464 0.5000 0.2936
Sm 0.3214 0.5000 0.6407
Sm 0.4152 0.0000 0.8294
Sm 0.5848 0.0000 0.1706
Sm 0.6786 0.5000 0.3593
Sm 0.8536 0.5000 0.7064
Dy 0.5000 0.0000 0.5000
Y 0.0000 0.0000 0.5000
Y 0.2784 0.5000 0.9996
Y 0.7216 0.5000 0.0004

The 10 most intense peaks (2θ = 10–90°), sorted by position:
- d 3.601, intensity 16
- d 3.549, intensity 14
- d 2.859, intensity 100
- d 2.851, intensity 26
- d 2.817, intensity 56
- d 2.729, intensity 42
- d 2.503, intensity 13
- d 1.775, intensity 14
- d 1.633, intensity 25
- d 1.501, intensity 16

---

Starting from a crystal structure in Alexandria, relaxed with GGA-PBE, the powder diffractogram of Sm6Dy8Y was simulated for CuKα.
Peak positions follow from Bragg's law for the DFT cell and can differ from measured ones.

Structural model:
Unit cell a=8.6900 b=8.6900 c=8.6900 alpha=63.13 beta=63.13 gamma=63.13
Element x y z (fractional)
Sm 0.0382 0.7291 0.6050
Sm 0.2709 0.3950 0.9618
Sm 0.3950 0.9618 0.2709
Sm 0.6050 0.0382 0.7291
Sm 0.7291 0.6050 0.0382
Sm 0.9618 0.2709 0.3950
Dy 0.0768 0.0768 0.0768
Dy 0.2202 0.2457 0.6113
Dy 0.2457 0.6113 0.2202
Dy 0.3887 0.7798 0.7543
Dy 0.6113 0.2202 0.2457
Dy 0.7543 0.3887 0.7798
Dy 0.7798 0.7543 0.3887
Dy 0.9232 0.9232 0.9232
Y 0.5000 0.5000 0.5000

The 10 most intense peaks (2θ = 10–90°), sorted by position:
- d 2.948, intensity 23
- d 2.861, intensity 100
- d 2.777, intensity 29
- d 2.755, intensity 10
- d 2.583, intensity 10
- d 2.456, intensity 15
- d 1.733, intensity 13
- d 1.707, intensity 7
- d 1.669, intensity 9
- d 1.544, intensity 11

---

Starting from a crystal structure in Alexandria, relaxed with GGA-PBE, the powder diffractogram of Sm14DyY was simulated for CuKα.
Peak positions follow from Bragg's law for the DFT cell and can differ from measured ones.

Structural model:
Unit cell a=7.2508 b=7.2508 c=10.2132 alpha=90.00 beta=90.00 gamma=90.00
Element x y z (fractional)
Sm 0.0000 0.0000 0.0000
Sm 0.0000 0.5000 0.0000
Sm 0.0000 0.5000 0.5000
Sm 0.2497 0.2497 0.2510
Sm 0.2497 0.2497 0.7490
Sm 0.2497 0.7503 0.2510
Sm 0.2497 0.7503 0.7490
Sm 0.5000 0.0000 0.0000
Sm 0.5000 0.0000 0.5000
Sm 0.5000 0.5000 0.0000
Sm 0.7503 0.2497 0.2510
Sm 0.7503 0.2497 0.7490
Sm 0.7503 0.7503 0.2510
Sm 0.7503 0.7503 0.7490
Dy 0.0000 0.0000 0.5000
Y 0.5000 0.5000 0.5000

The 10 most intense peaks (2θ = 10–90°), sorted by position:
- d 2.956, intensity 100
- d 2.564, intensity 34
- d 2.553, intensity 17
- d 1.813, intensity 12
- d 1.809, intensity 24
- d 1.545, intensity 29
- d 1.541, intensity 14
- d 1.478, intensity 12
- d 1.174, intensity 12
- d 1.146, intensity 11

---

Starting from a crystal structure in Alexandria, relaxed with GGA-PBE, the powder diffractogram of SmDy8Y3 was simulated for CuKα.
Peak positions follow from Bragg's law for the DFT cell and can differ from measured ones.

Structural model:
Unit cell a=8.6266 b=8.6266 c=8.6266 alpha=136.14 beta=98.28 gamma=97.76
Element x y z (fractional)
Sm 0.0000 0.0000 0.0000
Dy 0.0821 0.2503 0.8318
Dy 0.2528 0.2482 0.5009
Dy 0.2528 0.7518 0.0046
Dy 0.4186 0.2503 0.1682
Dy 0.5814 0.7497 0.8318
Dy 0.7472 0.2482 0.9954
Dy 0.7472 0.7518 0.4991
Dy 0.9179 0.7497 0.1682
Y 0.2528 0.7528 0.5000
Y 0.5000 0.5000 0.0000
Y 0.7472 0.2472 0.5000

The 10 most intense peaks (2θ = 10–90°), sorted by position:
- d 5.644, intensity 32
- d 5.596, intensity 30
- d 2.837, intensity 58
- d 2.820, intensity 100
- d 2.801, intensity 78
- d 2.526, intensity 29
- d 2.509, intensity 60
- d 1.772, intensity 23
- d 1.625, intensity 22
- d 1.410, intensity 27

---

Starting from a crystal structure in Alexandria, relaxed with GGA-PBE, the powder diffractogram of Sm4Dy15Y was simulated for CuKα.
Peak positions follow from Bragg's law for the DFT cell and can differ from measured ones.

Structural model:
Unit cell a=5.0407 b=5.0407 c=25.1627 alpha=90.00 beta=90.00 gamma=90.00
Element x y z (fractional)
Sm 0.0000 0.0000 0.1001
Sm 0.0000 0.0000 0.3001
Sm 0.0000 0.0000 0.6999
Sm 0.0000 0.0000 0.8999
Dy 0.0000 0.5000 0.0000
Dy 0.0000 0.5000 0.2001
Dy 0.0000 0.5000 0.4003
Dy 0.0000 0.5000 0.5997
Dy 0.0000 0.5000 0.7999
Dy 0.5000 0.0000 0.0000
Dy 0.5000 0.0000 0.2001
Dy 0.5000 0.0000 0.4003
Dy 0.5000 0.0000 0.5997
Dy 0.5000 0.0000 0.7999
Dy 0.5000 0.5000 0.1000
Dy 0.5000 0.5000 0.3003
Dy 0.5000 0.5000 0.5000
Dy 0.5000 0.5000 0.6997
Dy 0.5000 0.5000 0.9000
Y 0.0000 0.0000 0.5000

The 10 most intense peaks (2θ = 10–90°), sorted by position:
- d 2.909, intensity 100
- d 2.519, intensity 51
- d 1.781, intensity 36
- d 1.519, intensity 43
- d 1.454, intensity 12
- d 1.156, intensity 6
- d 1.156, intensity 12
- d 1.127, intensity 6
- d 1.127, intensity 6
- d 1.126, intensity 6